This entry pairs a crystal structure of Sm10DyTm4 with its calculated powder XRD pattern. Radiation: copper Kα. Structure: the GGA-PBE geometry in Alexandria.
Peak positions follow from Bragg's law for the DFT cell and can differ from measured ones.

Largest 6 diffraction maxima, by intensity, 10° ≤ 2θ ≤ 80°:
- (4 2 0), 32.81°, rel. 100
- (7 1 2), 58.57°, rel. 38
- (2 1 1), 19.92°, rel. 29
- (5 0 1), 38.68°, rel. 16
- (2 6 0), 47.04°, rel. 12
- (8 4 0), 68.78°, rel. 12

Structural model:
Cell: 12.2182 12.2182 7.7081 Å, 90.00 90.00 90.00°
Space group I4/m (No. 87)
One atom of each set of equivalent atoms:
Sm: 0.0000 0.5000 0.2500
Sm: 0.0998 0.7992 0.2505
Dy: 0.0000 0.0000 0.0000
Tm: 0.1001 0.2999 0.5000